Entry 1:
This entry pairs a crystal structure of Tb2ZrNi9 with its computed powder X-ray diffraction pattern. Radiation: Cu Kα (λ = 1.5418 Å). Structure: a crystal structure in Alexandria, relaxed with PBE.

Principal peaks in the range 2θ = 10–90°, in order of rising 2θ:
| 2θ (°) | intensity |
| --- | --- |
| 33.2 | 50 |
| 36.2 | 48 |
| 36.7 | 56 |
| 42.8 | 42 |
| 43.1 | 100 |
| 46.1 | 27 |
| 46.7 | 29 |
| 78.1 | 25 |

Atomic structure:
a b c (Å): 8.633 8.633 8.633
angles (deg): 32.93 32.93 32.93
Fractional positions:
Tb (0.137, 0.137, 0.137)
Tb (0.863, 0.863, 0.863)
Zr (0.000, 0.000, 0.000)
Ni (0.080, 0.581, 0.581)
Ni (0.333, 0.333, 0.333)
Ni (0.419, 0.419, 0.920)
Ni (0.419, 0.920, 0.419)
Ni (0.500, 0.500, 0.500)
Ni (0.581, 0.080, 0.581)
Ni (0.581, 0.581, 0.080)
Ni (0.667, 0.667, 0.667)
Ni (0.920, 0.419, 0.419)

=====

Entry 2:
This entry pairs a crystal structure of KHg4Pb12 with its computed powder X-ray diffraction pattern. Radiation: Cu Kα (λ = 1.5418 Å). Structure: a crystal structure in Alexandria, relaxed with PBE.

Principal peaks in the range 2θ = 10–90°, in order of rising 2θ:
| 2θ (°) | intensity |
| --- | --- |
| 26.8 | 100 |
| 31.9 | 27 |
| 38.3 | 46 |
| 42.2 | 30 |
| 44.0 | 39 |
| 59.7 | 17 |
| 77.0 | 13 |
| 78.3 | 14 |

Atomic structure:
a b c (Å): 9.096 9.096 9.096
angles (deg): 109.47 109.47 109.47
Fractional positions:
K (0.000, 0.000, 0.000)
Hg (0.000, 0.000, 0.500)
Hg (0.000, 0.500, 0.000)
Hg (0.500, 0.000, 0.000)
Hg (0.500, 0.500, 0.500)
Pb (0.155, 0.507, 0.352)
Pb (0.155, 0.802, 0.648)
Pb (0.198, 0.352, 0.845)
Pb (0.352, 0.155, 0.507)
Pb (0.352, 0.845, 0.198)
Pb (0.493, 0.648, 0.845)
Pb (0.507, 0.352, 0.155)
Pb (0.648, 0.155, 0.802)
Pb (0.648, 0.845, 0.493)
Pb (0.802, 0.648, 0.155)
Pb (0.845, 0.198, 0.352)
Pb (0.845, 0.493, 0.648)

=====

Entry 3:
This entry pairs a crystal structure of Cs2KVS4 with its computed powder X-ray diffraction pattern. Radiation: Cu Kα (λ = 1.5418 Å). Structure: a crystal structure in Alexandria, relaxed with PBE.

Principal peaks in the range 2θ = 10–90°, in order of rising 2θ:
| 2θ (°) | intensity |
| --- | --- |
| 13.0 | 41 |
| 17.1 | 100 |
| 23.7 | 79 |
| 25.4 | 78 |
| 28.1 | 59 |
| 28.7 | 64 |
| 31.8 | 33 |
| 41.7 | 32 |

Atomic structure:
a b c (Å): 15.157 14.060 7.613
angles (deg): 83.06 67.04 29.90
Fractional positions:
Cs (0.062, 0.062, 0.688)
Cs (0.312, 0.312, 0.938)
Cs (0.688, 0.688, 0.062)
Cs (0.938, 0.938, 0.312)
K (0.125, 0.125, 0.125)
K (0.875, 0.875, 0.875)
V (0.375, 0.375, 0.375)
V (0.625, 0.625, 0.625)
S (0.064, 0.594, 0.495)
S (0.348, 0.495, 0.594)
S (0.406, 0.936, 0.652)
S (0.495, 0.348, 0.064)
S (0.505, 0.652, 0.936)
S (0.594, 0.064, 0.348)
S (0.652, 0.505, 0.406)
S (0.936, 0.406, 0.505)

=====

Entry 4:
This entry pairs a crystal structure of Cs12Bi with its computed powder X-ray diffraction pattern. Radiation: Cu Kα (λ = 1.5418 Å). Structure: a crystal structure in Alexandria, relaxed with PBE.

Principal peaks in the range 2θ = 10–90°, in order of rising 2θ:
| 2θ (°) | intensity |
| --- | --- |
| 20.9 | 91 |
| 23.0 | 41 |
| 24.8 | 100 |
| 29.8 | 21 |
| 32.7 | 15 |
| 39.1 | 52 |
| 41.5 | 41 |
| 47.9 | 25 |

Atomic structure:
a b c (Å): 11.622 11.622 11.622
angles (deg): 109.47 109.47 109.47
Fractional positions:
Cs (0.122, 0.291, 0.831)
Cs (0.169, 0.460, 0.291)
Cs (0.169, 0.878, 0.709)
Cs (0.291, 0.169, 0.460)
Cs (0.291, 0.831, 0.122)
Cs (0.460, 0.291, 0.169)
Cs (0.540, 0.709, 0.831)
Cs (0.709, 0.169, 0.878)
Cs (0.709, 0.831, 0.540)
Cs (0.831, 0.122, 0.291)
Cs (0.831, 0.540, 0.709)
Cs (0.878, 0.709, 0.169)
Bi (0.000, 0.000, 0.000)

=====

Entry 5:
This entry pairs a crystal structure of SrHf2HO5 with its computed powder X-ray diffraction pattern. Radiation: Cu Kα (λ = 1.5418 Å). Structure: a crystal structure in Alexandria, relaxed with PBE.

Principal peaks in the range 2θ = 10–90°, in order of rising 2θ:
| 2θ (°) | intensity |
| --- | --- |
| 21.7 | 61 |
| 30.9 | 100 |
| 44.3 | 29 |
| 49.8 | 26 |
| 54.9 | 41 |
| 64.4 | 18 |
| 73.1 | 18 |
| 89.6 | 22 |

Atomic structure:
a b c (Å): 4.094 4.094 8.185
angles (deg): 90.00 90.00 90.00
Fractional positions:
Sr (0.000, 0.000, 0.000)
Hf (0.500, 0.500, 0.254)
Hf (0.500, 0.500, 0.746)
H (0.500, 0.500, 0.500)
O (0.000, 0.500, 0.231)
O (0.000, 0.500, 0.769)
O (0.500, 0.000, 0.231)
O (0.500, 0.000, 0.769)
O (0.500, 0.500, 0.000)

=====

Entry 6:
This entry pairs a crystal structure of Ta3Ga2Cl9 with its computed powder X-ray diffraction pattern. Radiation: Cu Kα (λ = 1.5418 Å). Structure: a crystal structure in Alexandria, relaxed with PBE.

Principal peaks in the range 2θ = 10–90°, in order of rising 2θ:
| 2θ (°) | intensity |
| --- | --- |
| 10.2 | 42 |
| 10.7 | 100 |
| 11.4 | 29 |
| 11.6 | 73 |
| 15.3 | 22 |
| 25.1 | 15 |
| 33.9 | 24 |
| 39.1 | 16 |

Atomic structure:
a b c (Å): 9.532 9.532 9.712
angles (deg): 105.29 105.29 109.46
Fractional positions:
Ta (0.031, 0.217, 0.645)
Ta (0.114, 0.114, 0.381)
Ta (0.217, 0.031, 0.645)
Ta (0.783, 0.969, 0.355)
Ta (0.886, 0.886, 0.619)
Ta (0.969, 0.783, 0.355)
Ga (0.220, 0.529, 0.157)
Ga (0.471, 0.780, 0.843)
Ga (0.529, 0.220, 0.157)
Ga (0.780, 0.471, 0.843)
Cl (0.074, 0.499, 0.836)
Cl (0.097, 0.875, 0.185)
Cl (0.125, 0.903, 0.815)
Cl (0.172, 0.394, 0.532)
Cl (0.222, 0.778, 0.500)
Cl (0.260, 0.260, 0.229)
Cl (0.300, 0.300, 0.846)
Cl (0.394, 0.172, 0.532)
Cl (0.499, 0.074, 0.836)
Cl (0.501, 0.926, 0.164)
Cl (0.606, 0.828, 0.468)
Cl (0.700, 0.700, 0.154)
Cl (0.740, 0.740, 0.771)
Cl (0.778, 0.222, 0.500)
Cl (0.828, 0.606, 0.468)
Cl (0.875, 0.097, 0.185)
Cl (0.903, 0.125, 0.815)
Cl (0.926, 0.501, 0.164)